# 1
The following is a calculated XRD peak list of Ca2LaGaCu2O7. It was derived from a DFT-relaxed cell (PBE, the Materials Project), using λ = 1.5418 Å (Cu Kα).

Cell and atoms:
Cell lengths 5.4157, 5.5736, 11.8271 Å; angles 76.80, 76.88, 89.93 degrees
Atoms (fractional coordinates):
Ca1 0.0000 0.0000 0.0000
Ca2 0.1554 0.1054 0.7094
Ca3 0.4978 0.4255 0.0037
Ca4 0.8027 0.7979 0.3968
La1 0.3039 0.2411 0.4036
La2 0.6585 0.6150 0.7028
Ga1 0.3739 0.8019 0.1961
Ga2 0.8785 0.4363 0.1964
Cu1 0.0833 0.5387 0.8559
Cu2 0.2355 0.6870 0.5512
Cu3 0.5836 0.0340 0.8550
Cu4 0.7348 0.1931 0.5530
O1 0.0177 0.7479 0.2012
O2 0.0333 0.3676 0.0556
O3 0.3351 0.7901 0.8503
O4 0.3419 0.2936 0.8356
O5 0.3837 0.8590 0.3425
O6 0.4742 0.9417 0.5625
O7 0.4862 0.4409 0.5464
O8 0.5198 0.4841 0.1982
O9 0.5309 0.0072 0.0562
O10 0.8344 0.7875 0.8507
O11 0.8427 0.2968 0.8363
O12 0.8780 0.2257 0.3416
O13 0.9803 0.9356 0.5625
O14 0.9878 0.4424 0.5464

Top 6 peaks for 10° ≤ 2θ ≤ 90°, by intensity:
2θ = 33.12°, intensity 100
2θ = 33.39°, intensity 90
2θ = 46.78°, intensity 61
2θ = 32.12°, intensity 50
2θ = 33.23°, intensity 43
2θ = 39.57°, intensity 22

# 2
The following is a calculated XRD peak list of TbSbO4. It was derived from a DFT-relaxed cell (PBE, the Materials Project), using λ = 1.5418 Å (Cu Kα).

Cell and atoms:
Cell lengths 7.6942, 5.4097, 7.5837 Å; angles 90.00, 99.08, 90.00 degrees
Atoms (fractional coordinates):
Tb1 0.1474 0.2239 0.3908
Tb2 0.1474 0.2761 0.8908
Tb3 0.8526 0.7239 0.1092
Tb4 0.8526 0.7761 0.6092
Sb1 0.3372 0.7321 0.1956
Sb2 0.3372 0.7679 0.6956
Sb3 0.6628 0.2321 0.3044
Sb4 0.6628 0.2679 0.8044
O1 0.1139 0.5256 0.1763
O2 0.1139 0.9744 0.6763
O3 0.1809 0.0132 0.1227
O4 0.1809 0.4868 0.6227
O5 0.3282 0.6218 0.9416
O6 0.3282 0.8782 0.4416
O7 0.4315 0.0959 0.8049
O8 0.4315 0.4041 0.3049
O9 0.5685 0.5959 0.6951
O10 0.5685 0.9041 0.1951
O11 0.6718 0.1218 0.5584
O12 0.6718 0.3782 0.0584
O13 0.8191 0.5132 0.3773
O14 0.8191 0.9868 0.8773
O15 0.8861 0.0256 0.3237
O16 0.8861 0.4744 0.8237

Top 6 peaks for 10° ≤ 2θ ≤ 90°, by intensity:
2θ = 28.72°, intensity 100
2θ = 29.00°, intensity 76
2θ = 29.87°, intensity 29
2θ = 33.12°, intensity 27
2θ = 49.91°, intensity 24
2θ = 45.83°, intensity 16

# 3
The following is a calculated XRD peak list of Sm3Si2Ni6. It was derived from a DFT-relaxed cell (PBE, the Materials Project), using λ = 1.5418 Å (Cu Kα).

Cell and atoms:
Cell lengths 7.6792, 7.6792, 7.6792 Å; angles 109.47, 109.47, 109.47 degrees
Atoms (fractional coordinates):
Sm1 0.0000 0.2855 0.2855
Sm2 0.0000 0.7145 0.7145
Sm3 0.2855 0.0000 0.2855
Sm4 0.2855 0.2855 0.0000
Sm5 0.7145 0.0000 0.7145
Sm6 0.7145 0.7145 0.0000
Si1 0.0000 0.0000 0.5000
Si2 0.0000 0.5000 0.0000
Si3 0.5000 0.0000 0.0000
Si4 0.5000 0.5000 0.5000
Ni1 0.0000 0.3308 0.6692
Ni2 0.0000 0.6692 0.3308
Ni3 0.3308 0.0000 0.6692
Ni4 0.3308 0.3308 0.6617
Ni5 0.3308 0.6617 0.3308
Ni6 0.3308 0.6692 0.0000
Ni7 0.3383 0.6692 0.6692
Ni8 0.6617 0.3308 0.3308
Ni9 0.6692 0.0000 0.3308
Ni10 0.6692 0.3308 0.0000
Ni11 0.6692 0.3383 0.6692
Ni12 0.6692 0.6692 0.3383

Top 6 peaks for 10° ≤ 2θ ≤ 90°, by intensity:
2θ = 43.29°, intensity 100
2θ = 31.92°, intensity 38
2θ = 37.97°, intensity 32
2θ = 35.06°, intensity 27
2θ = 40.70°, intensity 23
2θ = 79.42°, intensity 22

# 4
The following is a calculated XRD peak list of YSn3. It was derived from a DFT-relaxed cell (PBE, the Materials Project), using λ = 1.5418 Å (Cu Kα).

Cell and atoms:
Cell lengths 4.7275, 4.7275, 4.7275 Å; angles 90.00, 90.00, 90.00 degrees
Atoms (fractional coordinates):
Y1 0.0000 0.0000 0.0000
Sn1 0.0000 0.5000 0.5000
Sn2 0.5000 0.0000 0.5000
Sn3 0.5000 0.5000 0.0000

Top 6 peaks for 10° ≤ 2θ ≤ 90°, by intensity:
2θ = 32.81°, intensity 100
2θ = 38.07°, intensity 50
2θ = 65.48°, intensity 42
2θ = 54.93°, intensity 35
2θ = 68.79°, intensity 12
2θ = 81.43°, intensity 6

# 5
The following is a calculated XRD peak list of NaSrAu2. It was derived from a DFT-relaxed cell (PBE, the Materials Project), using λ = 1.5418 Å (Cu Kα).

Cell and atoms:
Cell lengths 7.4667, 7.4667, 7.4667 Å; angles 90.00, 90.00, 90.00 degrees
Atoms (fractional coordinates):
Na1 0.0000 0.0000 0.0000
Na2 0.0000 0.5000 0.5000
Na3 0.5000 0.0000 0.5000
Na4 0.5000 0.5000 0.0000
Sr1 0.0000 0.0000 0.5000
Sr2 0.0000 0.5000 0.0000
Sr3 0.5000 0.0000 0.0000
Sr4 0.5000 0.5000 0.5000
Au1 0.2500 0.2500 0.2500
Au2 0.2500 0.2500 0.7500
Au3 0.2500 0.7500 0.2500
Au4 0.2500 0.7500 0.7500
Au5 0.7500 0.2500 0.2500
Au6 0.7500 0.2500 0.7500
Au7 0.7500 0.7500 0.2500
Au8 0.7500 0.7500 0.7500

Top 6 peaks for 10° ≤ 2θ ≤ 90°, by intensity:
2θ = 33.96°, intensity 100
2θ = 60.77°, intensity 38
2θ = 23.83°, intensity 37
2θ = 48.79°, intensity 18
2θ = 81.54°, intensity 17
2θ = 55.00°, intensity 16

# 6
The following is a calculated XRD peak list of Ca2Sn3O8. It was derived from a DFT-relaxed cell (PBE, the Materials Project), using λ = 1.5418 Å (Cu Kα).

Cell and atoms:
Cell lengths 6.5846, 6.5846, 5.4074 Å; angles 108.03, 108.03, 58.38 degrees
Atoms (fractional coordinates):
Ca1 0.2200 0.2200 0.1576
Ca2 0.7800 0.7800 0.8424
Sn1 0.2374 0.7626 0.5000
Sn2 0.5000 0.5000 0.0000
Sn3 0.7626 0.2374 0.5000
O1 0.1109 0.1109 0.4475
O2 0.1686 0.6125 0.1010
O3 0.3875 0.8314 0.8990
O4 0.3980 0.3980 0.5849
O5 0.6020 0.6020 0.4151
O6 0.6125 0.1686 0.1010
O7 0.8314 0.3875 0.8990
O8 0.8891 0.8891 0.5525

Top 6 peaks for 10° ≤ 2θ ≤ 90°, by intensity:
2θ = 16.49°, intensity 100
2θ = 34.10°, intensity 52
2θ = 42.63°, intensity 42
2θ = 28.52°, intensity 39
2θ = 33.37°, intensity 37
2θ = 33.05°, intensity 33